# 1
# ReF7
Calculated X-ray powder pattern, Cu Kα (weighted mean of Kα1 and Kα2). Input: the PBE geometry in Alexandria.
Neutral-atom scattering factors, no anomalous dispersion.

Cell and atoms:
```
ReF7
1.0
5.3269 0.0000 0.0000
-2.2156 4.8500 0.0000
-0.4638 -0.4967 9.5016
Re F
2 14
direct
0.1432 0.3685 0.2523
0.8568 0.6315 0.7477
0.0529 0.7697 0.5863
0.0931 0.4505 0.7222
0.1496 0.9088 0.8502
0.2120 0.6315 0.1128
0.2892 0.1352 0.3355
0.3620 0.2973 0.1201
0.4244 0.6486 0.3594
0.5756 0.3514 0.6406
0.6380 0.7027 0.8799
0.7108 0.8648 0.6645
0.7880 0.3685 0.8872
0.8504 0.0912 0.1498
0.9069 0.5495 0.2778
0.9471 0.2303 0.4137
```

Peak list (8 most intense, 2θ = 15–90°, low angle first)
d 4.839, I = 90
d 4.751, I = 100
d 4.419, I = 92
d 4.227, I = 41
d 4.198, I = 49
d 4.075, I = 61
d 4.035, I = 57
d 2.386, I = 33

# 2
# La7Tl4Cl4
Calculated X-ray powder pattern, Cu Kα (weighted mean of Kα1 and Kα2). Input: the PBE geometry in Alexandria.
Neutral-atom scattering factors, no anomalous dispersion.

Cell and atoms:
```
La7Tl4Cl4
1.0
-8.1787 8.1787 3.1885
8.1787 -8.1787 3.1885
8.1787 8.1787 -3.1885
La Tl Cl
14 8 8
direct
0.0000 0.2774 0.2774
0.0000 0.7226 0.7226
0.1098 0.5000 0.6098
0.2401 0.2401 0.0000
0.2774 0.0000 0.2774
0.2976 0.2976 0.5953
0.2976 0.7024 0.0000
0.5000 0.1098 0.6098
0.5000 0.8902 0.3902
0.7024 0.2976 0.0000
0.7024 0.7024 0.4047
0.7226 0.0000 0.7226
0.7599 0.7599 0.0000
0.8902 0.5000 0.3902
0.1333 0.1333 0.2665
0.1333 0.8667 0.0000
0.3193 0.5000 0.8193
0.5000 0.3193 0.8193
0.5000 0.6807 0.1807
0.6807 0.5000 0.1807
0.8667 0.1333 0.0000
0.8667 0.8667 0.7335
0.1025 0.6025 0.2051
0.1025 0.8975 0.5000
0.3975 0.6025 0.5000
0.3975 0.8975 0.7949
0.6025 0.1025 0.2051
0.6025 0.3975 0.5000
0.8975 0.1025 0.5000
0.8975 0.3975 0.7949
```

Peak list (8 most intense, 2θ = 15–90°, low angle first)
d 3.189, I = 22
d 2.911, I = 100
d 2.726, I = 14
d 2.714, I = 23
d 2.403, I = 11
d 2.313, I = 10
d 1.990, I = 12
d 1.782, I = 26

# 3
# Ac3Be2RuN6
Calculated X-ray powder pattern, Cu Kα (weighted mean of Kα1 and Kα2). Input: the PBE geometry in Alexandria.
Neutral-atom scattering factors, no anomalous dispersion.

Cell and atoms:
```
Ac3Be2RuN6
1.0
5.6511 0.0000 0.0000
-2.8255 4.8940 0.0000
0.0000 0.0000 6.4423
Ac Be Ru N
3 2 1 6
direct
0.0000 0.0000 0.0000
0.3333 0.6667 0.6636
0.6667 0.3333 0.3364
0.3333 0.6667 0.2538
0.6667 0.3333 0.7462
0.0000 0.0000 0.5000
0.1711 0.3422 0.3074
0.1711 0.8289 0.3074
0.3422 0.1711 0.6926
0.6578 0.8289 0.3074
0.8289 0.1711 0.6926
0.8289 0.6578 0.6926
```

Peak list (8 most intense, 2θ = 15–90°, low angle first)
d 3.897, I = 100
d 2.826, I = 94
d 2.691, I = 83
d 2.288, I = 38
d 1.949, I = 41
d 1.778, I = 25
d 1.710, I = 23
d 1.604, I = 36

# 4
# NdGe2Te4
Calculated X-ray powder pattern, Cu Kα (weighted mean of Kα1 and Kα2). Input: the PBE geometry in Alexandria.
Neutral-atom scattering factors, no anomalous dispersion.

Cell and atoms:
```
NdGe2Te4
1.0
8.2803 0.0000 0.0000
0.0000 8.2803 0.0000
0.0000 0.0000 7.0923
Nd Ge Te
2 4 8
direct
0.0000 0.0000 0.0000
0.5000 0.5000 0.5000
0.0000 0.5000 0.2500
0.0000 0.5000 0.7500
0.5000 0.0000 0.2500
0.5000 0.0000 0.7500
0.1741 0.6991 0.5000
0.1991 0.3259 0.0000
0.3009 0.1741 0.5000
0.3259 0.8009 0.0000
0.6741 0.1991 0.0000
0.6991 0.8259 0.5000
0.8009 0.6741 0.0000
0.8259 0.3009 0.5000
```

Peak list (8 most intense, 2θ = 15–90°, low angle first)
d 3.546, I = 26
d 3.283, I = 100
d 2.928, I = 36
d 2.693, I = 25
d 2.106, I = 46
d 1.993, I = 24
d 1.932, I = 31
d 1.318, I = 21

# 5
# K10RbNa2
Calculated X-ray powder pattern, Cu Kα (weighted mean of Kα1 and Kα2). Input: the PBE geometry in Alexandria.
Neutral-atom scattering factors, no anomalous dispersion.

Cell and atoms:
```
K10RbNa2
1.0
7.3535 -8.4250 0.0000
7.3535 8.4250 0.0000
0.0000 0.0000 14.4421
K Rb Na
20 2 4
direct
0.0342 0.2632 0.7500
0.0808 0.3778 0.2500
0.1173 0.8827 0.5618
0.1173 0.8827 0.9382
0.2632 0.0342 0.2500
0.2850 0.2850 0.0000
0.2850 0.2850 0.5000
0.3382 0.6618 0.0942
0.3382 0.6618 0.4058
0.3778 0.0808 0.7500
0.6222 0.9192 0.2500
0.6618 0.3382 0.5942
0.6618 0.3382 0.9058
0.7150 0.7150 0.0000
0.7150 0.7150 0.5000
0.7368 0.9658 0.7500
0.8827 0.1173 0.0618
0.8827 0.1173 0.4382
0.9192 0.6222 0.7500
0.9658 0.7368 0.2500
0.3808 0.6192 0.7500
0.6192 0.3808 0.2500
0.0000 0.5000 0.0000
0.0000 0.5000 0.5000
0.5000 0.0000 0.0000
0.5000 0.0000 0.5000
```

Peak list (8 most intense, 2θ = 15–90°, low angle first)
d 4.180, I = 32
d 3.943, I = 48
d 3.677, I = 26
d 3.655, I = 26
d 3.635, I = 100
d 3.611, I = 21
d 3.261, I = 25
d 2.114, I = 23

# 6
# PaTcP2Rh
Calculated X-ray powder pattern, Cu Kα (weighted mean of Kα1 and Kα2). Input: the PBE geometry in Alexandria.
Neutral-atom scattering factors, no anomalous dispersion.

Cell and atoms:
```
PaTcP2Rh
1.0
4.0403 0.0000 0.0000
0.0000 4.0403 0.0000
0.0000 0.0000 9.7744
Pa Tc P Rh
2 2 4 2
direct
0.0000 0.0000 0.0000
0.5000 0.5000 0.5000
0.0000 0.5000 0.7500
0.5000 0.0000 0.2500
0.0000 0.0000 0.3819
0.0000 0.0000 0.6181
0.5000 0.5000 0.1181
0.5000 0.5000 0.8819
0.0000 0.5000 0.2500
0.5000 0.0000 0.7500
```

Peak list (8 most intense, 2θ = 15–90°, low angle first)
d 3.734, I = 48
d 2.536, I = 39
d 2.466, I = 100
d 2.444, I = 18
d 2.020, I = 35
d 1.580, I = 19
d 1.557, I = 18
d 1.236, I = 23

Copy entry 3 word for word.
# Ac3Be2RuN6
Calculated X-ray powder pattern, Cu Kα (weighted mean of Kα1 and Kα2). Input: the PBE geometry in Alexandria.
Neutral-atom scattering factors, no anomalous dispersion.

Cell and atoms:
```
Ac3Be2RuN6
1.0
5.6511 0.0000 0.0000
-2.8255 4.8940 0.0000
0.0000 0.0000 6.4423
Ac Be Ru N
3 2 1 6
direct
0.0000 0.0000 0.0000
0.3333 0.6667 0.6636
0.6667 0.3333 0.3364
0.3333 0.6667 0.2538
0.6667 0.3333 0.7462
0.0000 0.0000 0.5000
0.1711 0.3422 0.3074
0.1711 0.8289 0.3074
0.3422 0.1711 0.6926
0.6578 0.8289 0.3074
0.8289 0.1711 0.6926
0.8289 0.6578 0.6926
```

Peak list (8 most intense, 2θ = 15–90°, low angle first)
d 3.897, I = 100
d 2.826, I = 94
d 2.691, I = 83
d 2.288, I = 38
d 1.949, I = 41
d 1.778, I = 25
d 1.710, I = 23
d 1.604, I = 36

Number 3 is which compound? Ac3Be2RuN6